Starting from a DFT-relaxed cell (GGA-PBE, the Materials Project), the X-ray diffraction stick pattern of CeCuSi2 was calculated for Cu Kα X-rays.

Largest 10 diffraction maxima, in order of rising 2θ, 5 to 70 degrees two-theta:
2θ = 17.39°, I 738, hkl 0 4 0
2θ = 25.20°, I 463, hkl 1 3 0
2θ = 28.82°, I 679, hkl 0 4 1
2θ = 31.84°, I 653, hkl 1 1 1
2θ = 34.24°, I 1000, hkl 1 3 1
2θ = 35.02°, I 399, hkl 0 6 1
2θ = 37.77°, I 771, hkl 1 7 0
2θ = 38.66°, I 745, hkl 1 5 1
2θ = 43.78°, I 402, hkl 2 0 0
2θ = 61.45°, I 359, hkl 1 7 2

Structural model:
Cell lengths 4.1359, 20.3944, 3.9000 Å; angles 90.00, 90.00, 90.00 degrees
Space group Cmcm (No. 63)
Asymmetric unit:
Ce  0.0000  0.1409  0.2500
Cu  0.0000  0.4164  0.2500
Si  0.0000  0.0300  0.7500
Si  0.0000  0.2536  0.7500